This entry pairs a crystal structure of MnCdAs2O8 with its simulated powder diffractogram. Radiation: Cu Ka. Structure: a crystal structure in Alexandria, relaxed with GGA+U.
No peak broadening, texture or thermal motion is included.

Largest 8 diffraction maxima, sorted by position, 10° ≤ 2θ ≤ 80°:
- d 3.507, 2θ 25.40, I 100
- d 2.667, 2θ 33.61, I 64
- d 2.480, 2θ 36.23, I 18
- d 1.816, 2θ 50.24, I 58
- d 1.753, 2θ 52.17, I 15
- d 1.568, 2θ 58.90, I 12
- d 1.465, 2θ 63.50, I 18
- d 1.442, 2θ 64.65, I 12

Cell and atoms:
a b c (Å): 5.882 5.882 5.882
angles (deg): 106.81 106.81 114.94
Positions (direct):
Mn (0.000, 0.000, 0.000)
Cd (0.750, 0.250, 0.500)
As (0.250, 0.750, 0.500)
As (0.500, 0.500, 0.000)
O (0.072, 0.385, 0.313)
O (0.072, 0.759, 0.687)
O (0.134, 0.310, 0.824)
O (0.241, 0.928, 0.313)
O (0.486, 0.310, 0.176)
O (0.615, 0.928, 0.687)
O (0.690, 0.514, 0.824)
O (0.690, 0.866, 0.176)

---

This entry pairs a crystal structure of CdMoAs2O8 with its simulated powder diffractogram. Radiation: Cu Ka. Structure: a crystal structure in Alexandria, relaxed with GGA+U.
No peak broadening, texture or thermal motion is included.

Largest 8 diffraction maxima, sorted by position, 10° ≤ 2θ ≤ 80°:
- d 3.516, 2θ 25.33, I 100
- d 2.625, 2θ 34.16, I 66
- d 2.486, 2θ 36.12, I 20
- d 1.805, 2θ 50.57, I 58
- d 1.758, 2θ 52.01, I 16
- d 1.573, 2θ 58.71, I 13
- d 1.461, 2θ 63.71, I 18
- d 1.259, 2θ 75.48, I 12

Cell and atoms:
a b c (Å): 5.855 5.855 5.855
angles (deg): 106.17 106.17 116.29
Positions (direct):
Cd (0.000, 0.000, 0.000)
Mo (0.750, 0.250, 0.500)
As (0.250, 0.750, 0.500)
As (0.500, 0.500, 0.000)
O (0.055, 0.378, 0.323)
O (0.055, 0.732, 0.677)
O (0.134, 0.327, 0.807)
O (0.268, 0.945, 0.323)
O (0.519, 0.327, 0.193)
O (0.622, 0.945, 0.677)
O (0.673, 0.481, 0.807)
O (0.673, 0.866, 0.193)